Entry 1:
Theoretical powder X-ray diffraction pattern of Rb4TcGeSe6 for CuKα, from a structure optimized by DFT (GGA-PBE).
No peak broadening, texture or thermal motion is included.

Principal peaks in the range 10 to 80 degrees two-theta, in order of falling intensity:
(0 2 1), 25.8 deg, I = 100; (2 1 1), 24.9 deg, I = 87; (0 1 -2), 26.1 deg, I = 79; (1 0 1), 15.2 deg, I = 46; (0 1 3), 31.3 deg, I = 45; (0 3 -1), 42.1 deg, I = 34; (0 1 0), 12.7 deg, I = 26; (4 2 2), 51.1 deg, I = 24; (2 1 -1), 32.3 deg, I = 23; (2 3 2), 36.5 deg, I = 22

Structural model:
```
data_Rb4TcGeSe6
_symmetry_space_group_name_H-M 'P 1'
_symmetry_Int_Tables_number 1
_cell_length_a 7.146
_cell_length_b 7.878
_cell_length_c 9.444
_cell_angle_alpha 71.89
_cell_angle_beta 68.78
_cell_angle_gamma 64.04
loop_
_symmetry_equiv_pos_as_xyz
'x,y,z'
loop_
_atom_site_label
_atom_site_type_symbol
_atom_site_fract_x
_atom_site_fract_y
_atom_site_fract_z
_atom_site_occupancy
Rb1 Rb 0.000 0.000 0.000 1
Rb2 Rb 0.180 0.388 0.251 1
Rb3 Rb 0.404 0.755 0.452 1
Rb4 Rb 0.760 0.654 0.812 1
Tc1 Tc 0.713 0.141 0.439 1
Ge1 Ge 0.458 0.258 0.820 1
Se1 Se 0.271 0.580 0.859 1
Se2 Se 0.365 0.188 0.616 1
Se3 Se 0.470 0.016 0.044 1
Se4 Se 0.699 0.380 0.219 1
Se5 Se 0.818 0.207 0.623 1
Se6 Se 0.897 0.822 0.403 1
```

---

Entry 2:
Theoretical powder X-ray diffraction pattern of Cs2CuSnI6 for CuKα, from a structure optimized by DFT (GGA-PBE).
No peak broadening, texture or thermal motion is included.

Principal peaks in the range 10 to 80 degrees two-theta, in order of falling intensity:
(4 0 0), 30.3 deg, I = 100; (2 2 0), 26.1 deg, I = 91; (2 2 2), 43.3 deg, I = 73; (6 2 0), 51.3 deg, I = 40; (6 2 2), 71.4 deg, I = 32; (4 4 0), 53.8 deg, I = 25; (8 4 0), 79.5 deg, I = 24; (4 4 2), 69.3 deg, I = 16; (1 1 1), 21.3 deg, I = 14; (2 0 0), 15.0 deg, I = 13

Structural model:
```
data_Cs2CuSnI6
_symmetry_space_group_name_H-M 'C 1 2/m 1'
_symmetry_Int_Tables_number 12
_cell_length_a 14.466
_cell_length_b 8.355
_cell_length_c 8.353
_cell_angle_alpha 90.00
_cell_angle_beta 125.24
_cell_angle_gamma 90.00
loop_
_symmetry_equiv_pos_as_xyz
'x,y,z'
'-x,-y,-z'
'-x,y,-z'
'x,-y,z'
'x+1/2,y+1/2,z'
'-x+1/2,-y+1/2,-z'
'-x+1/2,y+1/2,-z'
'x+1/2,-y+1/2,z'
loop_
_atom_site_label
_atom_site_type_symbol
_atom_site_fract_x
_atom_site_fract_y
_atom_site_fract_z
_atom_site_occupancy
Cs1 Cs 0.250 0.000 0.250 1
Cu1 Cu 0.000 0.000 0.500 1
Sn1 Sn 0.000 0.500 0.000 1
I1 I 0.001 0.241 0.742 1
I2 I 0.241 0.000 0.739 1
```

---

Entry 3:
Theoretical powder X-ray diffraction pattern of ZnCu2SiS4 for CuKα, from a structure optimized by DFT (GGA-PBE).
No peak broadening, texture or thermal motion is included.

Principal peaks in the range 10 to 80 degrees two-theta, in order of falling intensity:
(0 2 0), 27.8 deg, I = 100; (1 1 1), 31.5 deg, I = 97; (3 1 -5), 53.1 deg, I = 77; (2 0 -2), 29.1 deg, I = 61; (0 3 2), 49.3 deg, I = 48; (2 1 0), 40.7 deg, I = 35; (2 3 0), 58.2 deg, I = 29; (0 0 4), 49.1 deg, I = 25; (3 2 -7), 75.2 deg, I = 17; (2 0 2), 58.1 deg, I = 15

Structural model:
```
data_ZnCu2SiS4
_symmetry_space_group_name_H-M 'P 1 c 1'
_symmetry_Int_Tables_number 7
_cell_length_a 6.140
_cell_length_b 6.402
_cell_length_c 9.631
_cell_angle_alpha 90.00
_cell_angle_beta 129.59
_cell_angle_gamma 90.00
loop_
_symmetry_equiv_pos_as_xyz
'x,y,z'
'x,-y,z+1/2'
loop_
_atom_site_label
_atom_site_type_symbol
_atom_site_fract_x
_atom_site_fract_y
_atom_site_fract_z
_atom_site_occupancy
Zn1 Zn 0.000 0.175 0.000 1
Cu1 Cu 0.498 0.172 0.494 1
Cu2 Cu 0.744 0.347 0.246 1
Si1 Si 0.243 0.326 0.747 1
S1 S 0.125 0.358 0.251 1
S2 S 0.372 0.170 0.988 1
S3 S 0.590 0.324 0.742 1
S4 S 0.883 0.174 0.506 1
```

---

Entry 4:
Theoretical powder X-ray diffraction pattern of Y2Tm2Al3 for CuKα, from a structure optimized by DFT (GGA-PBE).
No peak broadening, texture or thermal motion is included.

Principal peaks in the range 10 to 80 degrees two-theta, in order of falling intensity:
(3 1 -2), 35.2 deg, I = 100; (1 1 1), 26.4 deg, I = 98; (3 1 0), 30.6 deg, I = 92; (0 2 0), 36.4 deg, I = 50; (0 0 2), 29.1 deg, I = 47; (4 0 -1), 30.4 deg, I = 40; (1 1 -1), 22.6 deg, I = 35; (2 0 -1), 17.1 deg, I = 27; (0 2 2), 47.3 deg, I = 25; (1 1 2), 38.1 deg, I = 24

Structural model:
```
data_Y2Tm2Al3
_symmetry_space_group_name_H-M 'C 1 2/m 1'
_symmetry_Int_Tables_number 12
_cell_length_a 11.777
_cell_length_b 4.932
_cell_length_c 6.645
_cell_angle_alpha 90.00
_cell_angle_beta 112.71
_cell_angle_gamma 90.00
loop_
_symmetry_equiv_pos_as_xyz
'x,y,z'
'-x,-y,-z'
'-x,y,-z'
'x,-y,z'
'x+1/2,y+1/2,z'
'-x+1/2,-y+1/2,-z'
'-x+1/2,y+1/2,-z'
'x+1/2,-y+1/2,z'
loop_
_atom_site_label
_atom_site_type_symbol
_atom_site_fract_x
_atom_site_fract_y
_atom_site_fract_z
_atom_site_occupancy
Y1 Y 0.039 0.000 0.279 1
Tm1 Tm 0.186 0.500 0.803 1
Al1 Al 0.000 0.500 0.000 1
Al2 Al 0.218 0.500 0.341 1
```

---

Entry 5:
Theoretical powder X-ray diffraction pattern of CuAuC2N2 for CuKα, from a structure optimized by DFT (GGA-PBE).
No peak broadening, texture or thermal motion is included.

Principal peaks in the range 10 to 80 degrees two-theta, in order of falling intensity:
(1 1 2), 36.0 deg, I = 100; (1 1 0), 30.9 deg, I = 93; (0 0 2), 17.9 deg, I = 86; (1 1 4), 48.4 deg, I = 58; (0 1 1), 17.8 deg, I = 50; (0 2 0), 31.0 deg, I = 46; (1 1 6), 65.1 deg, I = 27; (0 0 4), 36.3 deg, I = 22; (1 3 4), 67.8 deg, I = 20; (1 0 1), 28.2 deg, I = 17

Structural model:
```
data_CuAuC2N2
_symmetry_space_group_name_H-M 'I m m m'
_symmetry_Int_Tables_number 71
_symmetry_space_group_name_Hall '-I 2 2'
_cell_length_a 3.344
_cell_length_b 5.764
_cell_length_c 9.907
_cell_angle_alpha 90.00
_cell_angle_beta 90.00
_cell_angle_gamma 90.00
loop_
_atom_site_label
_atom_site_type_symbol
_atom_site_fract_x
_atom_site_fract_y
_atom_site_fract_z
_atom_site_occupancy
Cu1 Cu 0.000 0.000 0.000 1
Au1 Au 0.000 0.000 0.500 1
C1 C 0.000 0.000 0.300 1
N1 N 0.000 0.000 0.182 1
```

---

Entry 6:
Theoretical powder X-ray diffraction pattern of Dy2FeCoSi2C for CuKα, from a structure optimized by DFT (GGA-PBE).
No peak broadening, texture or thermal motion is included.

Principal peaks in the range 10 to 80 degrees two-theta, in order of falling intensity:
(1 1 -2), 36.8 deg, I = 100; (3 1 -1), 34.6 deg, I = 92; (1 1 0), 25.4 deg, I = 61; (0 2 0), 46.8 deg, I = 33; (2 0 -2), 26.3 deg, I = 32; (4 0 -1), 35.8 deg, I = 32; (2 0 1), 35.5 deg, I = 31; (1 1 1), 34.5 deg, I = 29; (3 1 0), 40.5 deg, I = 28; (4 0 -3), 41.6 deg, I = 26

Structural model:
```
data_Dy2FeCoSi2C
_symmetry_space_group_name_H-M 'C 1 m 1'
_symmetry_Int_Tables_number 8
_cell_length_a 10.537
_cell_length_b 3.884
_cell_length_c 6.779
_cell_angle_alpha 90.00
_cell_angle_beta 129.40
_cell_angle_gamma 90.00
loop_
_symmetry_equiv_pos_as_xyz
'x,y,z'
'x,-y,z'
'x+1/2,y+1/2,z'
'x+1/2,-y+1/2,z'
loop_
_atom_site_label
_atom_site_type_symbol
_atom_site_fract_x
_atom_site_fract_y
_atom_site_fract_z
_atom_site_occupancy
Dy1 Dy 0.000 0.000 0.000 1
Dy2 Dy 0.125 0.000 0.589 1
Fe1 Fe 0.362 0.000 0.205 1
Co1 Co 0.263 0.500 0.385 1
Si1 Si 0.220 0.500 0.003 1
Si2 Si 0.405 0.000 0.586 1
C1 C 0.059 0.500 0.291 1
```

---

Entry 7:
Theoretical powder X-ray diffraction pattern of HfO2 for CuKα, from a structure optimized by DFT (GGA-PBE).
No peak broadening, texture or thermal motion is included.

Principal peaks in the range 10 to 80 degrees two-theta, in order of falling intensity:
(1 1 -1), 28.6 deg, I = 100; (1 1 1), 31.9 deg, I = 80; (0 0 2), 34.7 deg, I = 26; (2 0 0), 35.9 deg, I = 23; (2 2 0), 50.7 deg, I = 21; (0 2 0), 34.6 deg, I = 21; (1 3 0), 56.3 deg, I = 21; (0 2 2), 49.8 deg, I = 18; (2 1 -1), 41.4 deg, I = 15; (0 1 1), 24.3 deg, I = 14

Structural model:
```
data_HfO2
_symmetry_space_group_name_H-M 'P 1 21/c 1'
_symmetry_Int_Tables_number 14
_cell_length_a 5.068
_cell_length_b 5.184
_cell_length_c 5.233
_cell_angle_alpha 90.00
_cell_angle_beta 99.16
_cell_angle_gamma 90.00
loop_
_symmetry_equiv_pos_as_xyz
'x,y,z'
'-x,-y,-z'
'-x,y+1/2,-z+1/2'
'x,-y+1/2,z+1/2'
loop_
_atom_site_label
_atom_site_type_symbol
_atom_site_fract_x
_atom_site_fract_y
_atom_site_fract_z
_atom_site_occupancy
Hf1 Hf 0.223 0.042 0.292 1
O1 O 0.055 0.741 0.519 1
O2 O 0.426 0.159 0.663 1
```